No. 1
Computed PXRD pattern
Compound: Zr2Mn12GaSn11
Radiation: Cu Kα (λ = 1.5418 Å)
Structure: a crystal structure in the Materials Project, relaxed with PBE

Peak list (6 most intense, 10° ≤ 2θ ≤ 80°, in order of rising 2θ)
| two_theta | intensity | index |
| --- | --- | --- |
| 33.3 | 100.0 | 0 2 0 |
| 35.8 | 45.1 | 6 1 1 |
| 38.7 | 27.3 | 0 2 2 |
| 39.1 | 52.0 | 4 1 3 |
| 43.8 | 72.2 | 4 0 4 |
| 72.6 | 36.9 | 12 2 0 |

Atomic structure:
```
data_Zr2Mn12GaSn11
_chemical_formula_sum 'Zr4 Mn24 Ga2 Sn22'
_symmetry_space_group_name_H-M 'A m m 2'
_symmetry_Int_Tables_number 38
_cell_length_a 17.8582
_cell_length_b 5.3863
_cell_length_c 9.2996
_cell_angle_alpha 90.00
_cell_angle_beta 90.00
_cell_angle_gamma 90.00
loop_
_symmetry_equiv_pos_as_xyz
'x,y,z'
'-x,-y,z'
'-x,y,z'
'x,-y,z'
'x,y+1/2,z+1/2'
'-x,-y+1/2,z+1/2'
'-x,y+1/2,z+1/2'
'x,-y+1/2,z+1/2'
loop_
_atom_site_label
_atom_site_fract_x
_atom_site_fract_y
_atom_site_fract_z
Zr1 0.0000 0.0000 0.0000
Zr2 0.5000 0.0000 0.0000
Mn1 0.1202 0.0000 0.5039
Mn2 0.1202 0.2441 0.7480
Mn3 0.3755 0.0000 0.5001
Mn4 0.3755 0.2499 0.2499
Ga1 0.0000 0.0000 0.6664
Sn1 0.0000 0.0000 0.3335
Sn2 0.1637 0.0000 0.0000
Sn3 0.2471 0.0000 0.3334
Sn4 0.2485 0.0000 0.6666
Sn5 0.3348 0.0000 0.0000
Sn6 0.5000 0.0000 0.3333
Sn7 0.5000 0.0000 0.6666
```

---

No. 2
Computed PXRD pattern
Compound: Ca3Os3N5
Radiation: Cu Kα (λ = 1.5418 Å)
Structure: a crystal structure in the Materials Project, relaxed with PBE

Peak list (6 most intense, 10° ≤ 2θ ≤ 80°, in order of rising 2θ)
| two_theta | intensity | index |
| --- | --- | --- |
| 13.3 | 97.9 | 0 1 0 |
| 15.5 | 71.5 | 1 0 0 |
| 19.1 | 100.0 | 0 1 1 |
| 31.1 | 80.4 | 0 2 1 |
| 32.4 | 50.6 | 1 -1 2 |
| 41.7 | 51.0 | 2 2 -2 |

Atomic structure:
```
data_Ca3Os3N5
_chemical_formula_sum 'Ca6 Os6 N10'
_symmetry_space_group_name_H-M 'P -1'
_symmetry_Int_Tables_number 2
_cell_length_a 6.0386
_cell_length_b 6.7604
_cell_length_c 8.2137
_cell_angle_alpha 99.17
_cell_angle_beta 107.72
_cell_angle_gamma 91.72
loop_
_symmetry_equiv_pos_as_xyz
'x,y,z'
'-x,-y,-z'
loop_
_atom_site_label
_atom_site_fract_x
_atom_site_fract_y
_atom_site_fract_z
Ca1 0.1361 0.1626 0.1781
Ca2 0.1392 0.3951 0.8441
Ca3 0.2907 0.9919 0.6056
Os1 0.2097 0.5049 0.4954
Os2 0.3957 0.6039 0.2466
Os3 0.4223 0.8259 0.0023
N1 0.0091 0.2783 0.5134
N2 0.1576 0.7173 0.0598
N3 0.2329 0.0337 0.8881
N4 0.4574 0.3846 0.1111
N5 0.4949 0.2886 0.4998
```

---

Q: What is the formula in the second record?
A: Ca3Os3N5